1.
Diffraction record for LaIn5Rh. The PXRD pattern is simulated, not measured: it uses a structure optimized by DFT (PBE) and λ = 1.5418 Å (Cu Kα).
Intensities are scaled so that the largest is 100.

Structure:
Cell: 4.7430 4.7430 7.7013 Å, 90.00 90.00 90.00°
Space group P4/mmm (No. 123)
Inequivalent atoms, fractional coordinates:
La: 0.0000 0.0000 0.0000 x1
In: 0.0000 0.5000 0.3067 x4
In: 0.5000 0.5000 0.0000 x1
Rh: 0.0000 0.0000 0.5000 x1

Most intense lines, 2θ = 15–90°, low angle first:
- 2θ = 18.71°, rel. 8, (1 0 0)
- 2θ = 29.04°, rel. 32, (1 1 1)
- 2θ = 34.95°, rel. 16, (0 0 3)
- 2θ = 35.50°, rel. 100, (1 1 2)
- 2θ = 37.94°, rel. 56, (2 0 0)
- 2θ = 52.53°, rel. 19, (2 0 3)
- 2θ = 54.74°, rel. 19, (2 2 0)
- 2θ = 66.61°, rel. 9, (2 2 3)
- 2θ = 66.84°, rel. 11, (1 1 5)
- 2θ = 66.95°, rel. 30, (3 1 2)


2.
Diffraction record for EuGa. The PXRD pattern is simulated, not measured: it uses a structure optimized by DFT (PBE) and λ = 1.5418 Å (Cu Kα).
Intensities are scaled so that the largest is 100.

Structure:
Cell: 5.8565 6.2608 6.4998 Å, 68.14 78.49 85.11°
Space group P-1 (No. 2)
Inequivalent atoms, fractional coordinates:
Eu: 0.1724 0.2994 0.3533 x2
Eu: 0.2671 0.8511 0.9258 x2
Ga: 0.2862 0.3913 0.8090 x2
Ga: 0.3651 0.7614 0.4332 x2

Most intense lines, 2θ = 15–90°, low angle first:
- 2θ = 25.01°, rel. 81, (-1 1 1)
- 2θ = 29.54°, rel. 52, (1 1 2)
- 2θ = 30.78°, rel. 33, (0 2 0)
- 2θ = 31.17°, rel. 60, (2 0 0)
- 2θ = 31.35°, rel. 91, (1 0 2)
- 2θ = 34.45°, rel. 100, (0 2 2)
- 2θ = 34.76°, rel. 66, (1 -2 0)
- 2θ = 36.54°, rel. 63, (1 0 -2)
- 2θ = 38.28°, rel. 29, (2 -1 1)
- 2θ = 39.84°, rel. 28, (1 -1 2)